Structure and calculated powder diffractogram of LiCoBO3 (a DFT-relaxed cell (GGA+U, Alexandria); CuKα).
Peak positions follow from Bragg's law for the DFT cell and can differ from measured ones.

Structural model:
Cell: 5.239 8.453 6.628 Å, 90.00 112.04 90.00°
Space group P2_1/c (No. 14)
Asymmetric unit:
Li (0.170, 0.053, 0.399) [4 per cell]
Co (0.391, 0.717, 0.274) [4 per cell]
B (0.177, 0.126, 0.803) [4 per cell]
O (0.091, 0.635, 0.717) [4 per cell]
O (0.257, 0.000, 0.706) [4 per cell]
O (0.368, 0.248, 0.902) [4 per cell]

Principal peaks in the range 2θ = 10–90°, low angle first:
| hkl | Position (°2θ) | intensity |
| --- | --- | --- |
| 1 0 0 | 18.27 | 50 |
| 0 2 0 | 21.04 | 100 |
| 1 1 -1 | 21.35 | 23 |
| 1 2 0 | 27.99 | 70 |
| 1 2 -1 | 28.18 | 23 |
| 0 0 2 | 29.07 | 82 |
| 1 1 -2 | 29.91 | 55 |
| 2 1 -2 | 39.16 | 33 |